# 1
Diffraction record for Cs3U3TcS8. The XRD peak list is calculated, not measured: it uses a crystal structure in Alexandria, relaxed with GGA-PBE and CuKα.
Lines closer than 0.1° are merged.

Atomic structure:
Lattice parameters (Å, degrees): 9.4938 9.4938 9.4938 47.64 47.64 47.64
Element x y z (fractional)
Cs (0.0000, 0.5000, 0.5000)
Cs (0.5000, 0.0000, 0.5000)
Cs (0.5000, 0.5000, 0.0000)
U (0.0000, 0.0000, 0.5000)
U (0.0000, 0.5000, 0.0000)
U (0.5000, 0.0000, 0.0000)
Tc (0.5000, 0.5000, 0.5000)
S (0.2298, 0.2298, 0.2298)
S (0.2446, 0.7151, 0.7151)
S (0.2849, 0.2849, 0.7554)
S (0.2849, 0.7554, 0.2849)
S (0.7151, 0.2446, 0.7151)
S (0.7151, 0.7151, 0.2446)
S (0.7554, 0.2849, 0.2849)
S (0.7702, 0.7702, 0.7702)

Main lines, sorted by position (2θ from 15° to 90°):
| d (Å) | I/Imax |
| --- | --- |
| 5.875 | 17 |
| 4.199 | 41 |
| 3.211 | 54 |
| 2.937 | 100 |
| 2.285 | 41 |
| 2.007 | 23 |
| 1.917 | 30 |
| 1.744 | 24 |
| 1.605 | 16 |
| 1.582 | 14 |
| 1.416 | 15 |
| 1.231 | 15 |


# 2
Diffraction record for Cs4Te2S5. The XRD peak list is calculated, not measured: it uses a crystal structure in Alexandria, relaxed with GGA-PBE and CuKα.
Lines closer than 0.1° are merged.

Atomic structure:
Lattice parameters (Å, degrees): 7.3033 7.3033 9.7991 93.68 93.68 67.36
Element x y z (fractional)
Cs (0.0000, 0.0000, 0.0000)
Cs (0.0617, 0.0617, 0.4877)
Cs (0.4373, 0.4373, 0.0531)
Cs (0.6967, 0.6967, 0.7484)
Te (0.3885, 0.3885, 0.5977)
Te (0.7419, 0.7419, 0.2520)
S (0.2036, 0.6808, 0.7328)
S (0.4908, 0.9447, 0.0989)
S (0.5859, 0.5859, 0.3874)
S (0.6808, 0.2036, 0.7328)
S (0.9447, 0.4908, 0.0989)

Main lines, sorted by position (2θ from 15° to 90°):
| d (Å) | I/Imax |
| --- | --- |
| 4.042 | 100 |
| 3.667 | 31 |
| 3.615 | 51 |
| 2.961 | 21 |
| 2.830 | 15 |
| 2.718 | 44 |
| 2.391 | 14 |
| 2.336 | 15 |
| 2.245 | 12 |
| 2.092 | 13 |
| 2.025 | 11 |
| 1.671 | 13 |


# 3
Diffraction record for CsTeS6. The XRD peak list is calculated, not measured: it uses a crystal structure in Alexandria, relaxed with GGA-PBE and CuKα.
Lines closer than 0.1° are merged.

Atomic structure:
Lattice parameters (Å, degrees): 8.6216 8.6216 6.7641 101.36 101.36 34.61
Element x y z (fractional)
Cs (0.0000, 0.0000, 0.0000)
Te (0.5000, 0.5000, 0.5000)
S (0.0383, 0.4195, 0.1580)
S (0.0639, 0.0639, 0.5355)
S (0.4195, 0.0383, 0.1580)
S (0.5805, 0.9617, 0.8420)
S (0.9361, 0.9361, 0.4645)
S (0.9617, 0.5805, 0.8420)

Main lines, sorted by position (2θ from 15° to 90°):
| d (Å) | I/Imax |
| --- | --- |
| 4.055 | 77 |
| 4.027 | 99 |
| 3.819 | 31 |
| 3.310 | 100 |
| 3.055 | 52 |
| 2.861 | 34 |
| 2.693 | 51 |
| 2.444 | 58 |
| 2.380 | 27 |
| 2.333 | 29 |
| 2.027 | 51 |
| 1.910 | 36 |


# 4
Diffraction record for Cs2Te2S5. The XRD peak list is calculated, not measured: it uses a crystal structure in Alexandria, relaxed with GGA-PBE and CuKα.
Lines closer than 0.1° are merged.

Atomic structure:
Lattice parameters (Å, degrees): 8.4811 8.4811 8.5945 109.52 109.52 36.36
Element x y z (fractional)
Cs (0.0619, 0.0619, 0.3136)
Cs (0.9381, 0.9381, 0.6864)
Te (0.3474, 0.3474, 0.0558)
Te (0.6526, 0.6526, 0.9442)
S (0.1730, 0.1730, 0.0178)
S (0.4065, 0.4065, 0.3435)
S (0.5000, 0.5000, 0.0000)
S (0.5935, 0.5935, 0.6565)
S (0.8270, 0.8270, 0.9822)

Main lines, sorted by position (2θ from 15° to 90°):
| d (Å) | I/Imax |
| --- | --- |
| 4.734 | 20 |
| 4.219 | 59 |
| 4.038 | 100 |
| 3.693 | 69 |
| 3.646 | 30 |
| 3.030 | 23 |
| 2.969 | 25 |
| 2.683 | 73 |
| 2.646 | 46 |
| 2.242 | 22 |
| 1.940 | 23 |
| 1.884 | 58 |


# 5
Diffraction record for CsTl2TeS4. The XRD peak list is calculated, not measured: it uses a crystal structure in Alexandria, relaxed with GGA-PBE and CuKα.
Lines closer than 0.1° are merged.

Atomic structure:
Lattice parameters (Å, degrees): 8.4695 8.4695 8.3289 117.23 117.23 89.28
Element x y z (fractional)
Cs (0.0000, 0.0000, 0.0000)
Cs (0.0000, 0.0000, 0.5000)
Tl (0.0000, 0.5000, 0.0000)
Tl (0.5000, 0.0000, 0.5000)
Tl (0.5000, 0.5000, 0.0000)
Tl (0.5000, 0.5000, 0.5000)
Te (0.0000, 0.5000, 0.5000)
Te (0.5000, 0.0000, 0.0000)
S (0.2338, 0.6914, 0.4766)
S (0.2776, 0.3176, 0.5637)
S (0.3086, 0.7662, 0.0234)
S (0.3176, 0.2776, 0.0637)
S (0.6824, 0.7224, 0.9363)
S (0.6914, 0.2338, 0.9766)
S (0.7224, 0.6824, 0.4363)
S (0.7662, 0.3086, 0.5234)

Main lines, sorted by position (2θ from 15° to 90°):
| d (Å) | I/Imax |
| --- | --- |
| 3.647 | 100 |
| 3.408 | 79 |
| 3.189 | 72 |
| 2.997 | 62 |
| 2.976 | 61 |
| 2.307 | 27 |
| 2.176 | 47 |
| 2.111 | 44 |
| 2.078 | 23 |
| 1.958 | 22 |
| 1.823 | 43 |
| 1.704 | 24 |


# 6
Diffraction record for Cs4ThS5. The XRD peak list is calculated, not measured: it uses a crystal structure in Alexandria, relaxed with GGA-PBE and CuKα.
Lines closer than 0.1° are merged.

Atomic structure:
Lattice parameters (Å, degrees): 8.4109 8.4109 8.4109 100.48 100.48 129.51
Element x y z (fractional)
Cs (0.0900, 0.3002, 0.3902)
Cs (0.3002, 0.9100, 0.2102)
Cs (0.6998, 0.0900, 0.7898)
Cs (0.9100, 0.6998, 0.6098)
Th (0.5525, 0.5525, 0.0000)
S (0.2515, 0.5687, 0.8388)
S (0.4128, 0.2515, 0.6828)
S (0.5687, 0.7299, 0.3172)
S (0.7299, 0.4128, 0.1612)
S (0.9222, 0.9222, 0.0000)

Main lines, sorted by position (2θ from 15° to 90°):
| d (Å) | I/Imax |
| --- | --- |
| 3.996 | 100 |
| 3.587 | 39 |
| 3.402 | 69 |
| 2.469 | 51 |
| 2.406 | 24 |
| 2.142 | 20 |
| 2.061 | 41 |
| 1.998 | 24 |
| 1.600 | 18 |
| 1.565 | 10 |
| 1.401 | 12 |
| 1.312 | 10 |


# 7
Diffraction record for CsUTiS6. The XRD peak list is calculated, not measured: it uses a crystal structure in Alexandria, relaxed with GGA-PBE and CuKα.
Lines closer than 0.1° are merged.

Atomic structure:
Lattice parameters (Å, degrees): 6.4639 6.4639 8.0179 90.00 90.00 120.00
Element x y z (fractional)
Cs (0.0000, 0.0000, 0.0000)
U (0.6667, 0.3333, 0.5000)
Ti (0.3333, 0.6667, 0.5000)
S (0.0130, 0.3926, 0.6819)
S (0.0130, 0.6204, 0.3181)
S (0.3796, 0.3926, 0.3181)
S (0.3796, 0.9870, 0.6819)
S (0.6074, 0.6204, 0.6819)
S (0.6074, 0.9870, 0.3181)

Main lines, sorted by position (2θ from 15° to 90°):
| d (Å) | I/Imax |
| --- | --- |
| 5.598 | 16 |
| 4.590 | 100 |
| 3.232 | 20 |
| 2.643 | 19 |
| 2.516 | 48 |
| 2.412 | 16 |
| 2.046 | 24 |
| 1.933 | 14 |
| 1.866 | 12 |
| 1.703 | 13 |
| 1.659 | 11 |
| 1.524 | 11 |


# 8
Diffraction record for CsTlS14. The XRD peak list is calculated, not measured: it uses a crystal structure in Alexandria, relaxed with GGA-PBE and CuKα.
Lines closer than 0.1° are merged.

Atomic structure:
Lattice parameters (Å, degrees): 11.0498 11.0498 13.5557 113.28 113.28 49.97
Element x y z (fractional)
Cs (0.1277, 0.8723, 0.7500)
Cs (0.8723, 0.1277, 0.2500)
Tl (0.0000, 0.5000, 0.0000)
Tl (0.5000, 0.0000, 0.5000)
S (0.0371, 0.7754, 0.0515)
S (0.0787, 0.5196, 0.6625)
S (0.1299, 0.2437, 0.7565)
S (0.1462, 0.2876, 0.6260)
S (0.1772, 0.3325, 0.3773)
S (0.2246, 0.9629, 0.4485)
S (0.2437, 0.1299, 0.2565)
S (0.2727, 0.5847, 0.0504)
S (0.2876, 0.1462, 0.1260)
S (0.3325, 0.1772, 0.8773)
S (0.3918, 0.4936, 0.1917)
S (0.4153, 0.7273, 0.4496)
S (0.4804, 0.9213, 0.8375)
S (0.4936, 0.3918, 0.6917)
S (0.5064, 0.6082, 0.3083)
S (0.5196, 0.0787, 0.1625)
S (0.5847, 0.2727, 0.5504)
S (0.6082, 0.5064, 0.8083)
S (0.6675, 0.8228, 0.1227)
S (0.7124, 0.8538, 0.8740)
S (0.7273, 0.4153, 0.9496)
S (0.7563, 0.8701, 0.7435)
S (0.7754, 0.0371, 0.5515)
S (0.8228, 0.6675, 0.6227)
S (0.8538, 0.7124, 0.3740)
S (0.8701, 0.7563, 0.2435)
S (0.9213, 0.4804, 0.3375)
S (0.9629, 0.2246, 0.9485)

Main lines, sorted by position (2θ from 15° to 90°):
| d (Å) | I/Imax |
| --- | --- |
| 4.506 | 52 |
| 4.188 | 21 |
| 3.980 | 100 |
| 3.706 | 44 |
| 3.344 | 21 |
| 3.330 | 54 |
| 2.949 | 26 |
| 2.716 | 31 |
| 2.661 | 21 |
| 2.602 | 18 |
| 2.585 | 37 |
| 2.285 | 17 |


Copy entry 6 word for word.
Diffraction record for Cs4ThS5. The XRD peak list is calculated, not measured: it uses a crystal structure in Alexandria, relaxed with GGA-PBE and CuKα.
Lines closer than 0.1° are merged.

Atomic structure:
Lattice parameters (Å, degrees): 8.4109 8.4109 8.4109 100.48 100.48 129.51
Element x y z (fractional)
Cs (0.0900, 0.3002, 0.3902)
Cs (0.3002, 0.9100, 0.2102)
Cs (0.6998, 0.0900, 0.7898)
Cs (0.9100, 0.6998, 0.6098)
Th (0.5525, 0.5525, 0.0000)
S (0.2515, 0.5687, 0.8388)
S (0.4128, 0.2515, 0.6828)
S (0.5687, 0.7299, 0.3172)
S (0.7299, 0.4128, 0.1612)
S (0.9222, 0.9222, 0.0000)

Main lines, sorted by position (2θ from 15° to 90°):
| d (Å) | I/Imax |
| --- | --- |
| 3.996 | 100 |
| 3.587 | 39 |
| 3.402 | 69 |
| 2.469 | 51 |
| 2.406 | 24 |
| 2.142 | 20 |
| 2.061 | 41 |
| 1.998 | 24 |
| 1.600 | 18 |
| 1.565 | 10 |
| 1.401 | 12 |
| 1.312 | 10 |


Repeat the second record exactly.
Diffraction record for Cs4Te2S5. The XRD peak list is calculated, not measured: it uses a crystal structure in Alexandria, relaxed with GGA-PBE and CuKα.
Lines closer than 0.1° are merged.

Atomic structure:
Lattice parameters (Å, degrees): 7.3033 7.3033 9.7991 93.68 93.68 67.36
Element x y z (fractional)
Cs (0.0000, 0.0000, 0.0000)
Cs (0.0617, 0.0617, 0.4877)
Cs (0.4373, 0.4373, 0.0531)
Cs (0.6967, 0.6967, 0.7484)
Te (0.3885, 0.3885, 0.5977)
Te (0.7419, 0.7419, 0.2520)
S (0.2036, 0.6808, 0.7328)
S (0.4908, 0.9447, 0.0989)
S (0.5859, 0.5859, 0.3874)
S (0.6808, 0.2036, 0.7328)
S (0.9447, 0.4908, 0.0989)

Main lines, sorted by position (2θ from 15° to 90°):
| d (Å) | I/Imax |
| --- | --- |
| 4.042 | 100 |
| 3.667 | 31 |
| 3.615 | 51 |
| 2.961 | 21 |
| 2.830 | 15 |
| 2.718 | 44 |
| 2.391 | 14 |
| 2.336 | 15 |
| 2.245 | 12 |
| 2.092 | 13 |
| 2.025 | 11 |
| 1.671 | 13 |